Entry 1:
For BrCl, a structure optimized by DFT (GGA-PBE) gives the computed X-ray diffraction stick pattern in this record (Cu Ka).
Neutral-atom scattering factors, no anomalous dispersion.

Peak list (6 most intense, 2θ from 15° to 90°, in order of falling intensity)
2θ = 20.37°, I = 100, (1 1 0); 2θ = 23.12°, I = 87, (2 0 0); 2θ = 30.75°, I = 86, (1 1 2); 2θ = 47.80°, I = 43, (2 2 2); 2θ = 41.24°, I = 34, (0 2 2); 2θ = 23.38°, I = 33, (1 1 1)

Structure:
abc: 7.696 5.289 7.804
angles: 90.00 90.00 90.00
Space group Cmcm (No. 63)
Inequivalent atoms, fractional coordinates:
1 Br 0.000 0.000 0.000
2 Cl 0.000 0.267 0.250

***

Entry 2:
For RbSnS, a structure optimized by DFT (GGA-PBE) gives the computed X-ray diffraction stick pattern in this record (Cu Ka).
Neutral-atom scattering factors, no anomalous dispersion.

Peak list (6 most intense, 2θ from 15° to 90°, in order of falling intensity)
2θ = 26.80°, I = 100, (1 2 1); 2θ = 22.04°, I = 35, (0 0 2); 2θ = 41.71°, I = 31, (1 2 3); 2θ = 35.09°, I = 21, (2 0 0); 2θ = 38.45°, I = 20, (1 3 2); 2θ = 27.96°, I = 16, (0 3 1)

Structure:
abc: 5.115 10.428 8.067
angles: 90.00 90.00 90.00
Space group Ima2 (No. 46)
Inequivalent atoms, fractional coordinates:
1 Rb 0.250 0.153 0.000
2 Sn 0.250 0.582 0.001
3 S 0.250 0.749 0.751

***

Entry 3:
For NaRe4Se7, a structure optimized by DFT (GGA-PBE) gives the computed X-ray diffraction stick pattern in this record (Cu Ka).
Neutral-atom scattering factors, no anomalous dispersion.

Peak list (6 most intense, 2θ from 15° to 90°, in order of falling intensity)
2θ = 41.20°, I = 100, (2 -1 4); 2θ = 15.02°, I = 95, (0 1 -1); 2θ = 15.73°, I = 84, (1 0 -1); 2θ = 18.18°, I = 76, (0 1 2); 2θ = 22.98°, I = 75, (1 0 3); 2θ = 39.27°, I = 72, (1 2 -4)

Structure:
abc: 6.083 6.422 15.043
angles: 89.95 89.98 87.17
Space group P1 (No. 1)
Inequivalent atoms, fractional coordinates:
1 Na 0.000 0.000 0.000
2 Na 0.317 0.563 0.500
3 Re 0.201 0.000 0.646
4 Re 0.201 0.999 0.354
5 Re 0.556 0.048 0.768
6 Re 0.557 0.047 0.232
7 Re 0.582 0.707 0.149
8 Re 0.582 0.708 0.852
9 Re 0.934 0.802 0.224
10 Re 0.934 0.802 0.776
11 Se 0.078 0.174 0.500
12 Se 0.323 0.667 0.275
13 Se 0.324 0.668 0.725
14 Se 0.466 0.314 0.129
15 Se 0.466 0.314 0.871
16 Se 0.500 0.865 0.000
17 Se 0.552 0.125 0.609
18 Se 0.553 0.121 0.392
19 Se 0.905 0.748 0.385
20 Se 0.905 0.749 0.615
21 Se 0.947 0.560 0.101
22 Se 0.947 0.560 0.899
23 Se 0.955 0.176 0.755
24 Se 0.956 0.176 0.245

***

Entry 4:
For Ag5PbBr8, a structure optimized by DFT (GGA-PBE) gives the computed X-ray diffraction stick pattern in this record (Cu Ka).
Neutral-atom scattering factors, no anomalous dispersion.

Peak list (6 most intense, 2θ from 15° to 90°, in order of falling intensity)
2θ = 35.69°, I = 100, (1 3 2); 2θ = 35.13°, I = 64, (4 0 0); 2θ = 28.30°, I = 64, (2 0 2); 2θ = 43.86°, I = 63, (3 3 2); 2θ = 22.39°, I = 53, (2 1 1); 2θ = 27.60°, I = 42, (3 1 0)

Structure:
abc: 10.219 10.219 8.015
angles: 90.00 90.00 90.00
Space group I-4 (No. 82)
Inequivalent atoms, fractional coordinates:
1 Ag 0.000 0.000 0.000
2 Ag 0.223 0.732 0.152
3 Pb 0.000 0.500 0.750
4 Br 0.055 0.256 0.088
5 Br 0.070 0.235 0.613